1.
This entry pairs a crystal structure of HfZr3H8 with its theoretical PXRD pattern. Radiation: Cu Kα (λ = 1.5418 Å). Structure: DFT lattice parameters and positions (PBE).
Intensities are scaled so that the largest is 100.

The 6 most intense peaks (2θ = 10–90°), sorted by position:
- 32.5°, rel. 100
- 37.7°, rel. 48
- 54.3°, rel. 35
- 64.7°, rel. 40
- 68.0°, rel. 11
- 89.4°, rel. 17

Structure:
Cell: 4.7774 4.7774 4.7774 Å, 90.00 90.00 90.00°
Fractional coordinates of all 12 atoms:
Hf  0.0000  0.0000  0.0000
Zr  0.0000  0.5000  0.5000
Zr  0.5000  0.0000  0.5000
Zr  0.5000  0.5000  0.0000
H  0.2466  0.2466  0.2466
H  0.2466  0.2466  0.7534
H  0.2466  0.7534  0.2466
H  0.2466  0.7534  0.7534
H  0.7534  0.2466  0.2466
H  0.7534  0.2466  0.7534
H  0.7534  0.7534  0.2466
H  0.7534  0.7534  0.7534

2.
This entry pairs a crystal structure of TiTcMo with its theoretical PXRD pattern. Radiation: Cu Kα (λ = 1.5418 Å). Structure: DFT lattice parameters and positions (PBE).
Intensities are scaled so that the largest is 100.

The 6 most intense peaks (2θ = 10–90°), sorted by position:
- 40.0°, rel. 26
- 40.8°, rel. 100
- 41.4°, rel. 24
- 59.0°, rel. 16
- 73.2°, rel. 16
- 75.1°, rel. 15

Structure:
Cell: 6.9373 6.9373 4.3575 Å, 90.00 90.00 153.96°
Fractional coordinates of all 6 atoms:
Ti  0.0796  0.9204  0.7500
Ti  0.9204  0.0796  0.2500
Tc  0.4144  0.5856  0.7500
Tc  0.5856  0.4144  0.2500
Mo  0.2453  0.7547  0.2500
Mo  0.7547  0.2453  0.7500